This entry pairs a crystal structure of AcTiReSi2 with its simulated powder X-ray diffraction pattern. Radiation: Cu Kα X-rays. Structure: a cell relaxed with PBE.

Main lines, in order of falling intensity (2θ from 10° to 90°):
h k l  2theta  I_rel
1 1 2  34.4  100
1 0 1  22.8  66
1 0 3  31.8  50
2 0 0  43.7  32
0 0 4  31.1  24
2 1 3  55.1  22

Structure:
a b c (Å): 4.140 4.140 11.501
angles (deg): 90.00 90.00 90.00
Space group I-4m2 (No. 119)
Inequivalent atoms, fractional coordinates:
Ac 0.000 0.000 0.000 x2
Ti 0.000 0.500 0.750 x2
Re 0.000 0.500 0.250 x2
Si 0.000 0.000 0.380 x4